For Dy4HoSc3, a GGA-PBE-relaxed structure gives the computed XRD peak list in this record (copper Kα).

Largest 10 diffraction maxima, sorted by position, 10° ≤ 2θ ≤ 80°:
d/Å	I (rel.)
5.568	23
2.935	16
2.808	100
2.784	33
2.427	66
1.721	23
1.710	23
1.469	9
1.465	23
1.404	12

Structure:
a = 11.8159 Å, b = 6.8923 Å, c = 5.9578 Å
α = 90.00°, β = 109.54°, γ = 90.00°
Space group C2/m (No. 12)
Inequivalent atoms, fractional coordinates:
Dy 0.2477 0.0000 0.4947
Dy 0.2500 0.2500 0.0000
Ho 0.0000 0.5000 0.0000
Sc 0.0000 0.0000 0.0000
Sc 0.0000 0.2475 0.5000